Structure and theoretical XRD peak list of Li2CaNdAg2 (a DFT-relaxed cell (PBE, Alexandria); λ = 1.5418 Å (Cu Kα)).
Intensities are scaled so that the largest is 100.

Peak list (10 most intense, 2θ from 10° to 90°, by intensity)
Position (°2θ)	d_spacing	intensity
32.72	2.737	100
24.86	3.581	97
38.00	2.368	63
51.00	1.791	28
64.16	1.452	26
65.34	1.428	26
43.00	2.103	23
12.04	7.350	20
45.95	1.975	18
61.10	1.517	15

Structural model:
Unit cell a=4.7352 b=4.7352 c=7.3500 alpha=90.00 beta=90.00 gamma=120.00
Positions (direct):
Li (0.3333, 0.6667, 0.2365)
Li (0.6667, 0.3333, 0.7635)
Ca (0.0000, 0.0000, 0.0000)
Nd (0.0000, 0.0000, 0.5000)
Ag (0.3333, 0.6667, 0.7466)
Ag (0.6667, 0.3333, 0.2534)

=====

Structure and theoretical XRD peak list of CsBaH3 (a DFT-relaxed cell (PBE, Alexandria); λ = 1.5418 Å (Cu Kα)).
Intensities are scaled so that the largest is 100.

Peak list (10 most intense, 2θ from 10° to 90°, by intensity)
Position (°2θ)	d_spacing	intensity
26.79	3.328	100
22.76	3.907	50
32.51	2.754	40
37.26	2.413	39
50.29	1.814	38
46.48	1.954	22
61.03	1.518	20
54.64	1.680	14
21.26	4.179	10
80.19	1.197	9

Structural model:
Unit cell a=4.8260 b=4.8260 c=11.0057 alpha=90.00 beta=90.00 gamma=120.00
Positions (direct):
Cs (0.3333, 0.6667, 0.2500)
Cs (0.6667, 0.3333, 0.7500)
Ba (0.0000, 0.0000, 0.0000)
Ba (0.0000, 0.0000, 0.5000)
H (0.0000, 0.0000, 0.2500)
H (0.0000, 0.0000, 0.7500)
H (0.3333, 0.6667, 0.5525)
H (0.3333, 0.6667, 0.9475)
H (0.6667, 0.3333, 0.0525)
H (0.6667, 0.3333, 0.4475)

=====

Structure and theoretical XRD peak list of Na5B7C3 (a DFT-relaxed cell (PBE, Alexandria); λ = 1.5418 Å (Cu Kα)).
Intensities are scaled so that the largest is 100.

Peak list (10 most intense, 2θ from 10° to 90°, by intensity)
Position (°2θ)	d_spacing	intensity
42.22	2.141	100
40.77	2.213	49
41.93	2.155	39
36.43	2.466	17
63.44	1.466	17
78.98	1.212	16
76.79	1.241	13
34.79	2.579	12
56.73	1.623	10
81.12	1.186	10

Structural model:
Unit cell a=12.9711 b=12.9711 c=8.6190 alpha=90.00 beta=90.00 gamma=167.57
Positions (direct):
Na (0.0000, 0.0000, 0.0000)
Na (0.0000, 0.0000, 0.5000)
Na (0.2003, 0.7997, 0.0001)
Na (0.2003, 0.7997, 0.4998)
Na (0.3993, 0.6007, 0.0000)
Na (0.3993, 0.6007, 0.5000)
Na (0.6007, 0.3993, 0.0000)
Na (0.6007, 0.3993, 0.5000)
Na (0.7997, 0.2003, 0.9998)
Na (0.7997, 0.2003, 0.5002)
B (0.0655, 0.9345, 0.7500)
B (0.0704, 0.9296, 0.2500)
B (0.1302, 0.8698, 0.7500)
B (0.2585, 0.7415, 0.2500)
B (0.3263, 0.6737, 0.2500)
B (0.3361, 0.6639, 0.7500)
B (0.4782, 0.5218, 0.2500)
B (0.5218, 0.4782, 0.7500)
B (0.6639, 0.3361, 0.2500)
B (0.6737, 0.3263, 0.7500)
B (0.7415, 0.2585, 0.7500)
B (0.8698, 0.1302, 0.2500)
B (0.9296, 0.0704, 0.7500)
B (0.9345, 0.0655, 0.2500)
C (0.1327, 0.8673, 0.2500)
C (0.2728, 0.7272, 0.7500)
C (0.4617, 0.5383, 0.7500)
C (0.5383, 0.4617, 0.2500)
C (0.7272, 0.2728, 0.2500)
C (0.8673, 0.1327, 0.7500)

=====

Structure and theoretical XRD peak list of La4PrEr2 (a DFT-relaxed cell (PBE, Alexandria); λ = 1.5418 Å (Cu Kα)).
Intensities are scaled so that the largest is 100.

Peak list (10 most intense, 2θ from 10° to 90°, by intensity)
Position (°2θ)	d_spacing	intensity
29.74	3.004	100
30.69	2.913	43
33.26	2.694	35
27.59	3.233	19
53.98	1.699	19
29.39	3.039	14
25.40	3.507	13
34.71	2.584	11
61.80	1.501	11
55.26	1.662	11

Structural model:
Unit cell a=9.1201 b=9.1201 c=9.1201 alpha=134.83 beta=100.60 gamma=96.38
Positions (direct):
La (0.1563, 0.1532, 0.0031)
La (0.2581, 0.2263, 0.4681)
La (0.2581, 0.7900, 0.0319)
La (0.3500, 0.8468, 0.5031)
La (0.6500, 0.1532, 0.4969)
La (0.7419, 0.2100, 0.9681)
La (0.7419, 0.7737, 0.5319)
La (0.8437, 0.8468, 0.9969)
Pr (0.0000, 0.0000, 0.5000)
Pr (0.0000, 0.5000, 0.0000)
Er (0.0000, 0.5000, 0.5000)
Er (0.4661, 0.7161, 0.7500)
Er (0.5000, 0.5000, 0.0000)
Er (0.5339, 0.2839, 0.2500)